No. 1
# CdH4S2O5
Computed XRD peak list, Cu Kα (weighted mean of Kα1 and Kα2). Input: a PBE-relaxed structure.
Intensities are scaled so that the largest is 1000.

Lattice parameters (Å, degrees): 5.7423 7.2697 14.5504 90.00 100.54 90.00
Space group P2_1/c (No. 14)
Inequivalent atoms, fractional coordinates:
1 Cd 0.1309 0.1493 0.1828 (multiplicity 4)
2 H 0.1972 0.6379 0.4976 (multiplicity 4)
3 H 0.2673 0.1473 0.9958 (multiplicity 4)
4 H 0.3476 0.1586 0.5490 (multiplicity 4)
5 H 0.3656 0.6313 0.4240 (multiplicity 4)
6 S 0.0009 0.0040 0.3272 (multiplicity 4)
7 S 0.2985 0.6583 0.1583 (multiplicity 4)
8 O 0.2027 0.6602 0.6219 (multiplicity 4)
9 O 0.2095 0.5860 0.4355 (multiplicity 4)
10 O 0.3322 0.2061 0.0564 (multiplicity 4)
11 O 0.4082 0.5627 0.0886 (multiplicity 4)
12 O 0.4518 0.6769 0.2508 (multiplicity 4)

Top 10 peaks for 10° ≤ 2θ ≤ 90°, sorted by position:
two_theta	d/Å	I_rel	h k l
12.4	7.152	824	0 0 2
15.7	5.645	306	1 0 0
21.8	4.083	961	1 0 2
21.9	4.056	332	1 1 -2
25.3	3.523	1000	0 2 1
27.0	3.307	298	1 0 -4
29.7	3.010	256	1 1 -4
34.3	2.617	238	2 1 -2
35.7	2.513	231	2 1 1
36.5	2.464	239	1 2 3

***

No. 2
# Cd2H2SO6
Computed XRD peak list, Cu Kα (weighted mean of Kα1 and Kα2). Input: a PBE-relaxed structure.
Intensities are scaled so that the largest is 1000.

Lattice parameters (Å, degrees): 7.0989 7.6172 11.6471 90.00 119.96 90.00
Space group P2_1/c (No. 14)
Inequivalent atoms, fractional coordinates:
1 Cd 0.1509 0.0395 0.1674 (multiplicity 4)
2 Cd 0.3281 0.1642 0.5049 (multiplicity 4)
3 H 0.0758 0.7144 0.0482 (multiplicity 4)
4 H 0.2407 0.6755 0.8652 (multiplicity 4)
5 S 0.3096 0.0053 0.7824 (multiplicity 4)
6 O 0.0302 0.1896 0.9748 (multiplicity 4)
7 O 0.1647 0.5973 0.3157 (multiplicity 4)
8 O 0.2382 0.5165 0.1392 (multiplicity 4)
9 O 0.3023 0.1965 0.8107 (multiplicity 4)
10 O 0.3210 0.5659 0.8741 (multiplicity 4)
11 O 0.4624 0.0610 0.1339 (multiplicity 4)

Top 10 peaks for 10° ≤ 2θ ≤ 90°, sorted by position:
two_theta	d/Å	I_rel	h k l
17.1	5.171	567	1 1 -1
18.5	4.785	811	1 1 0
20.0	4.438	251	1 1 -2
27.9	3.196	264	1 0 2
28.3	3.153	394	2 1 -1
29.0	3.077	1000	0 1 3
29.4	3.040	463	0 2 2
33.0	2.717	280	1 2 -3
33.1	2.707	245	1 1 -4
34.7	2.585	283	2 2 -2

***

No. 3
# CdH2SeO5
Computed XRD peak list, Cu Kα (weighted mean of Kα1 and Kα2). Input: a PBE-relaxed structure.
Intensities are scaled so that the largest is 1000.

Lattice parameters (Å, degrees): 7.9609 7.7821 8.5163 90.00 122.13 90.00
Space group P2_1/c (No. 14)
Inequivalent atoms, fractional coordinates:
1 Cd 0.2165 0.2389 0.4609 (multiplicity 4)
2 H 0.2003 0.5132 0.6933 (multiplicity 4)
3 H 0.4156 0.0679 0.3001 (multiplicity 4)
4 Se 0.2622 0.6145 0.2469 (multiplicity 4)
5 O 0.1066 0.7265 0.6139 (multiplicity 4)
6 O 0.1211 0.0165 0.7854 (multiplicity 4)
7 O 0.2715 0.0993 0.2359 (multiplicity 4)
8 O 0.3464 0.5077 0.1291 (multiplicity 4)
9 O 0.4538 0.6979 0.4378 (multiplicity 4)

Top 10 peaks for 10° ≤ 2θ ≤ 90°, sorted by position:
two_theta	d/Å	I_rel	h k l
16.8	5.281	270	1 1 -1
17.4	5.095	210	1 1 0
22.9	3.891	154	0 2 0
23.8	3.735	1000	1 1 -2
26.0	3.424	270	0 2 1
26.4	3.371	478	2 0 0
33.9	2.644	384	0 2 2
35.9	2.499	328	3 1 -2
37.1	2.421	229	1 3 0
53.5	1.712	253	2 4 -2

***

No. 4
# CdH2SeO4
Computed XRD peak list, Cu Kα (weighted mean of Kα1 and Kα2). Input: a PBE-relaxed structure.
Intensities are scaled so that the largest is 1000.

Lattice parameters (Å, degrees): 14.3552 6.0501 5.0637 90.00 90.00 90.00
Space group Pnma (No. 62)
Inequivalent atoms, fractional coordinates:
1 Cd 0.2271 0.2500 0.0667 (multiplicity 4)
2 H 0.1206 0.1210 0.5187 (multiplicity 8)
3 Se 0.1029 0.7500 0.9751 (multiplicity 4)
4 O 0.1130 0.2500 0.4001 (multiplicity 4)
5 O 0.1410 0.7500 0.2896 (multiplicity 4)
6 O 0.1651 0.5331 0.8226 (multiplicity 8)

Top 10 peaks for 10° ≤ 2θ ≤ 90°, sorted by position:
two_theta	d/Å	I_rel	h k l
12.3	7.178	527	2 0 0
18.6	4.775	179	1 0 1
25.6	3.478	94	3 0 1
28.9	3.087	93	4 1 0
29.6	3.017	1000	0 2 0
39.0	2.309	93	5 1 1
40.6	2.225	102	6 1 0
46.8	1.942	87	0 2 2
48.5	1.876	97	6 2 0
52.4	1.745	141	3 3 1

***

No. 5
# Cd3H2Pd9
Computed XRD peak list, Cu Kα (weighted mean of Kα1 and Kα2). Input: a PBE-relaxed structure.
Intensities are scaled so that the largest is 1000.

Lattice parameters (Å, degrees): 5.7413 5.7413 14.0936 90.00 90.00 120.00
Space group P6_3/mmc (No. 194)
Inequivalent atoms, fractional coordinates:
1 Cd 0.0000 0.0000 0.2500 (multiplicity 2)
2 Cd 0.3333 0.6667 0.0841 (multiplicity 4)
3 H 0.3333 0.6667 0.6481 (multiplicity 4)
4 Pd 0.0001 0.5000 0.2500 (multiplicity 6)
5 Pd 0.1652 0.3303 0.5822 (multiplicity 12)

Top 10 peaks for 10° ≤ 2θ ≤ 90°, sorted by position:
two_theta	d/Å	I_rel	h k l
36.7	2.448	220	2 0 1
38.4	2.346	1000	0 0 6
41.1	2.197	654	2 0 3
44.6	2.031	381	2 0 4
48.8	1.864	106	2 0 5
64.9	1.437	127	2 0 8
65.0	1.435	244	2 2 0
71.2	1.325	123	2 0 9
78.0	1.225	353	2 2 6
79.8	1.202	90	4 0 3

***

No. 6
# CdH4Pd8
Computed XRD peak list, Cu Kα (weighted mean of Kα1 and Kα2). Input: a PBE-relaxed structure.
Intensities are scaled so that the largest is 1000.

Lattice parameters (Å, degrees): 2.9039 7.5937 7.8941 65.04 89.84 79.06
Space group P-1 (No. 2)
Inequivalent atoms, fractional coordinates:
1 Cd 0.0000 0.0000 0.0000 (multiplicity 1)
2 H 0.0885 0.8066 0.4246 (multiplicity 2)
3 H 0.2622 0.4833 0.1816 (multiplicity 2)
4 Pd 0.1499 0.7062 0.6775 (multiplicity 2)
5 Pd 0.1884 0.6203 0.3338 (multiplicity 2)
6 Pd 0.3341 0.3326 0.9974 (multiplicity 2)
7 Pd 0.4885 0.0323 0.6704 (multiplicity 2)

Top 10 peaks for 10° ≤ 2θ ≤ 90°, sorted by position:
two_theta	d/Å	I_rel	h k l
36.0	2.492	301	-1 1 1
36.4	2.465	208	0 3 1
37.9	2.377	736	0 0 3
39.6	2.275	1000	1 2 2
40.2	2.245	423	0 3 0
41.8	2.161	737	1 -1 1
41.9	2.154	404	1 2 -1
49.9	1.829	184	0 3 4
64.1	1.452	155	2 1 0
77.1	1.237	173	2 1 -3

***

No. 7
# PrCdH6Pd4
Computed XRD peak list, Cu Kα (weighted mean of Kα1 and Kα2). Input: a PBE-relaxed structure.
Intensities are scaled so that the largest is 1000.

Lattice parameters (Å, degrees): 4.7832 4.7832 6.9461 90.00 90.00 120.00
Space group P6/mmm (No. 191)
Inequivalent atoms, fractional coordinates:
1 Pr 0.0000 0.0000 0.0000 (multiplicity 1)
2 Cd 0.0000 0.0000 0.5000 (multiplicity 1)
3 H 0.0000 0.5000 0.1472 (multiplicity 6)
4 Pd 0.3333 0.6667 0.3030 (multiplicity 4)

Top 10 peaks for 10° ≤ 2θ ≤ 90°, sorted by position:
two_theta	d/Å	I_rel	h k l
12.7	6.946	111	0 0 1
25.0	3.558	107	1 0 1
33.7	2.661	1000	1 0 2
37.6	2.392	951	1 1 0
51.4	1.779	293	2 0 2
55.2	1.664	204	1 1 3
65.4	1.427	281	2 1 2
67.9	1.381	163	3 0 0
80.3	1.196	103	2 2 0
89.9	1.091	122	3 1 2

***

Repeat the fourth record exactly.
# CdH2SeO4
Computed XRD peak list, Cu Kα (weighted mean of Kα1 and Kα2). Input: a PBE-relaxed structure.
Intensities are scaled so that the largest is 1000.

Lattice parameters (Å, degrees): 14.3552 6.0501 5.0637 90.00 90.00 90.00
Space group Pnma (No. 62)
Inequivalent atoms, fractional coordinates:
1 Cd 0.2271 0.2500 0.0667 (multiplicity 4)
2 H 0.1206 0.1210 0.5187 (multiplicity 8)
3 Se 0.1029 0.7500 0.9751 (multiplicity 4)
4 O 0.1130 0.2500 0.4001 (multiplicity 4)
5 O 0.1410 0.7500 0.2896 (multiplicity 4)
6 O 0.1651 0.5331 0.8226 (multiplicity 8)

Top 10 peaks for 10° ≤ 2θ ≤ 90°, sorted by position:
two_theta	d/Å	I_rel	h k l
12.3	7.178	527	2 0 0
18.6	4.775	179	1 0 1
25.6	3.478	94	3 0 1
28.9	3.087	93	4 1 0
29.6	3.017	1000	0 2 0
39.0	2.309	93	5 1 1
40.6	2.225	102	6 1 0
46.8	1.942	87	0 2 2
48.5	1.876	97	6 2 0
52.4	1.745	141	3 3 1